(1)
The following is a theoretical powder X-ray diffraction pattern of LiSn2S3O12. It was derived from a DFT-relaxed cell (PBE, the Materials Project), using Cu Kα X-rays.

Structure:
```
LiSn2S3O12
1.0
4.604 2.658 7.707
-4.604 2.658 7.707
0.000 -5.316 7.707
Li Sn S O
2 4 6 24
Direct
0.000 0.000 0.000
0.500 0.500 0.500
0.147 0.147 0.147
0.353 0.353 0.353
0.647 0.647 0.647
0.853 0.853 0.853
0.063 0.750 0.437
0.250 0.563 0.937
0.437 0.063 0.750
0.563 0.937 0.250
0.750 0.437 0.063
0.937 0.250 0.563
0.017 0.823 0.569
0.069 0.323 0.517
0.073 0.893 0.257
0.107 0.743 0.927
0.177 0.431 0.983
0.243 0.607 0.427
0.257 0.073 0.893
0.323 0.517 0.069
0.393 0.573 0.757
0.427 0.243 0.607
0.431 0.983 0.177
0.483 0.931 0.677
0.517 0.069 0.323
0.569 0.017 0.823
0.573 0.757 0.393
0.607 0.427 0.243
0.677 0.483 0.931
0.743 0.927 0.107
0.757 0.393 0.573
0.823 0.569 0.017
0.893 0.257 0.073
0.927 0.107 0.743
0.931 0.677 0.483
0.983 0.177 0.431
```

Most intense lines, 15 to 90 degrees two-theta, by angle:
d 4.680, I 100; d 4.604, I 72; d 3.952, I 85; d 3.282, I 42; d 2.955, I 74; d 2.673, I 54; d 2.658, I 57; d 1.976, I 33; d 1.835, I 28; d 1.740, I 27

***

(2)
The following is a theoretical powder X-ray diffraction pattern of LiTiS2O2. It was derived from a DFT-relaxed cell (PBE, the Materials Project), using Cu Kα X-rays.

Structure:
```
LiTiS2O2
1.0
2.927 -1.784 0.000
2.927 1.784 0.000
-0.737 0.000 9.601
Li Ti S O
1 1 2 2
Direct
0.000 0.000 0.000
0.000 0.000 0.500
0.318 0.318 0.354
0.682 0.682 0.646
0.420 0.420 0.944
0.580 0.580 0.056
```

Most intense lines, 15 to 90 degrees two-theta, by angle:
d 4.801, I 81; d 2.869, I 100; d 2.583, I 82; d 2.526, I 83; d 2.251, I 27; d 2.163, I 37; d 1.922, I 25; d 1.784, I 26; d 1.708, I 26; d 1.468, I 25

***

(3)
The following is a theoretical powder X-ray diffraction pattern of LiTiS2O2. It was derived from a DFT-relaxed cell (PBE, the Materials Project), using Cu Kα X-rays.

Structure:
```
LiTiS2O2
1.0
2.936 -1.777 0.000
2.936 1.777 0.000
-0.905 0.000 10.246
Li Ti S O
1 1 2 2
Direct
0.000 0.000 0.000
0.000 0.000 0.500
0.316 0.316 0.363
0.684 0.684 0.637
0.427 0.427 0.049
0.573 0.573 0.951
```

Most intense lines, 15 to 90 degrees two-theta, by angle:
d 5.123, I 100; d 2.877, I 100; d 2.642, I 39; d 2.562, I 42; d 2.324, I 36; d 2.220, I 61; d 2.004, I 27; d 1.848, I 20; d 1.777, I 20; d 1.708, I 37